For Sr2GaPb, a cell relaxed with GGA-PBE gives the simulated X-ray powder pattern in this record (Cu Kα X-rays).
Peak positions follow from Bragg's law for the DFT cell and can differ from measured ones.

Most intense lines, 10° ≤ 2θ ≤ 80°, by angle:
2θ (°), Rel. int.
14.50, 27
19.52, 27
27.55, 94
28.50, 24
34.62, 100
35.24, 44
36.69, 34
39.07, 27
51.78, 26
54.67, 20

Cell lengths 12.221, 4.899, 9.223 Å; angles 90.00, 90.04, 90.00 degrees
Space group C2/m (No. 12)
Symmetry-distinct sites (fractional):
Sr (0.134, 0.000, 0.135) (multiplicity 4)
Sr (0.143, 0.000, 0.614) (multiplicity 4)
Ga (0.068, 0.500, 0.386) (multiplicity 4)
Pb (0.078, 0.500, 0.865) (multiplicity 4)

For Tb3Ga2Pb2, a cell relaxed with GGA-PBE gives the simulated X-ray powder pattern in this record (Cu Kα X-rays).
Peak positions follow from Bragg's law for the DFT cell and can differ from measured ones.

Most intense lines, 10° ≤ 2θ ≤ 80°, by angle:
2θ (°), Rel. int.
26.75, 42
30.42, 100
31.39, 48
34.46, 31
36.96, 31
38.50, 57
41.17, 34
52.67, 22
56.50, 18
64.55, 15

Cell lengths 11.406, 4.386, 7.923 Å; angles 90.00, 112.94, 90.00 degrees
Space group C2/m (No. 12)
Symmetry-distinct sites (fractional):
Tb (0.000, 0.000, 0.000) (multiplicity 2)
Tb (0.173, 0.000, 0.642) (multiplicity 4)
Ga (0.213, 0.500, 0.917) (multiplicity 4)
Pb (0.045, 0.500, 0.324) (multiplicity 4)

For Ga2Te4Pb, a cell relaxed with GGA-PBE gives the simulated X-ray powder pattern in this record (Cu Kα X-rays).
Peak positions follow from Bragg's law for the DFT cell and can differ from measured ones.

Most intense lines, 10° ≤ 2θ ≤ 80°, by angle:
2θ (°), Rel. int.
15.09, 39
21.47, 27
27.52, 100
30.67, 52
34.19, 96
34.34, 19
47.07, 22
47.37, 17
47.43, 16
51.88, 16

Cell lengths 6.798, 11.641, 11.674 Å; angles 90.00, 90.00, 90.00 degrees
Space group Cccm (No. 66)
Symmetry-distinct sites (fractional):
Ga (0.002, 0.240, 0.000) (multiplicity 8)
Te (0.233, 0.426, 0.500) (multiplicity 8)
Te (0.250, 0.250, 0.177) (multiplicity 8)
Pb (0.000, 0.500, 0.250) (multiplicity 4)

For Th5Ga2Pb2, a cell relaxed with GGA-PBE gives the simulated X-ray powder pattern in this record (Cu Kα X-rays).
Peak positions follow from Bragg's law for the DFT cell and can differ from measured ones.

Most intense lines, 10° ≤ 2θ ≤ 80°, by angle:
2θ (°), Rel. int.
24.26, 23
29.56, 31
30.76, 46
31.35, 100
32.16, 30
33.27, 37
34.89, 26
35.06, 25
45.77, 22
55.59, 21

Cell lengths 15.852, 8.197, 8.246 Å; angles 90.00, 90.00, 90.00 degrees
Space group Cmce (No. 64)
Symmetry-distinct sites (fractional):
Th (0.000, 0.000, 0.000) (multiplicity 4)
Th (0.127, 0.182, 0.319) (multiplicity 16)
Ga (0.000, 0.115, 0.616) (multiplicity 8)
Pb (0.215, 0.000, 0.000) (multiplicity 8)